# H4PbNCl3
Computed powder diffraction line list, CuKα. Input: the PBE geometry in Alexandria.

```
H4PbNCl3
1.0
4.332 0.000 0.000
-1.912 7.274 0.000
-0.020 -0.019 10.634
H Pb N Cl
8 2 2 6
Cartesian
0.000 0.000 0.000
0.009 0.803 1.506
-0.751 6.860 1.127
1.227 1.090 0.344
0.175 7.016 5.655
2.153 1.244 6.440
3.296 0.020 6.828
3.323 0.826 5.324
0.475 4.152 8.987
0.905 3.934 3.668
0.592 0.377 0.758
2.723 0.451 6.075
-1.143 5.774 4.361
0.700 2.911 6.353
0.699 5.188 1.040
2.523 2.311 9.676
3.211 1.971 3.087
2.498 6.116 8.412
```

Most intense lines, 2θ = 10–90°, low angle first:
2θ 12.17, rel. 100; 2θ 16.67, rel. 53; 2θ 20.69, rel. 63; 2θ 21.62, rel. 25; 2θ 27.12, rel. 42; 2θ 32.01, rel. 30; 2θ 32.86, rel. 24; 2θ 40.42, rel. 25

***

# H8PdN2Cl6
Computed powder diffraction line list, CuKα. Input: the PBE geometry in Alexandria.

```
H8PdN2Cl6
1.0
0.000 4.996 4.996
4.996 0.000 4.996
4.996 4.996 0.000
H Pd N Cl
8 1 2 6
Cartesian
1.902 1.902 1.902
3.093 3.093 1.902
3.093 1.902 3.093
1.902 3.093 3.093
8.089 6.898 6.898
6.898 8.089 6.898
6.898 6.898 8.089
8.089 8.089 8.089
4.996 4.996 4.996
2.498 2.498 2.498
7.494 7.494 7.494
4.996 4.996 2.642
4.996 2.642 4.996
7.349 4.996 4.996
2.642 4.996 4.996
4.996 7.349 4.996
4.996 4.996 7.349
```

Most intense lines, 2θ = 10–90°, low angle first:
2θ 15.36, rel. 100; 2θ 17.75, rel. 67; 2θ 29.65, rel. 39; 2θ 35.95, rel. 64; 2θ 40.37, rel. 34; 2θ 47.27, rel. 23; 2θ 51.76, rel. 39; 2θ 54.32, rel. 21

***

# H8PtN2Cl6
Computed powder diffraction line list, CuKα. Input: the PBE geometry in Alexandria.

```
H8PtN2Cl6
1.0
0.000 5.008 5.008
5.008 0.000 5.008
5.008 5.008 0.000
H Pt N Cl
8 1 2 6
Cartesian
1.908 1.908 1.908
3.100 3.100 1.908
3.100 1.908 3.100
1.908 3.100 3.100
8.108 6.916 6.916
6.916 8.108 6.916
6.916 6.916 8.108
8.108 8.108 8.108
5.008 5.008 5.008
2.504 2.504 2.504
7.512 7.512 7.512
5.008 5.008 2.656
5.008 2.656 5.008
7.360 5.008 5.008
2.656 5.008 5.008
5.008 7.360 5.008
5.008 5.008 7.360
```

Most intense lines, 2θ = 10–90°, low angle first:
2θ 15.32, rel. 100; 2θ 17.71, rel. 62; 2θ 25.15, rel. 25; 2θ 29.58, rel. 48; 2θ 35.86, rel. 38; 2θ 40.27, rel. 33; 2θ 47.15, rel. 24; 2θ 51.62, rel. 24

***

# SnH12PtN4Cl6
Computed powder diffraction line list, CuKα. Input: the PBE geometry in Alexandria.

```
SnH12PtN4Cl6
1.0
6.001 -5.580 0.000
6.001 5.580 0.000
0.000 0.000 10.972
Sn H Pt N Cl
2 24 2 8 12
Cartesian
0.000 0.000 0.000
6.001 0.000 5.486
1.544 0.773 3.538
4.728 3.477 6.480
2.386 0.982 4.951
1.544 -0.773 7.435
4.728 2.103 0.994
3.615 0.982 0.536
2.386 -0.982 6.022
7.273 3.477 6.480
4.457 0.773 1.949
3.615 -0.982 10.437
7.273 2.103 0.994
4.457 -0.773 9.024
7.545 0.773 1.949
4.728 -2.103 9.979
8.387 0.982 0.536
7.545 -0.773 9.024
4.728 -3.477 4.492
9.615 0.982 4.951
8.387 -0.982 10.437
7.273 -2.103 9.979
10.458 0.773 3.538
9.615 -0.982 6.022
7.273 -3.477 4.492
10.458 -0.773 7.435
0.000 0.000 5.486
6.001 0.000 0.000
1.462 1.090 4.512
1.462 -1.090 6.460
4.539 1.090 0.974
4.539 -1.090 9.998
7.463 1.090 0.974
7.463 -1.090 9.998
10.540 1.090 4.512
10.540 -1.090 6.460
1.773 1.039 9.570
6.001 3.598 9.532
1.773 -1.039 1.403
4.228 1.039 6.889
6.001 1.982 4.045
4.228 -1.039 4.083
7.774 1.039 6.889
6.001 -1.982 6.927
7.774 -1.039 4.083
10.229 1.039 9.570
6.001 -3.598 1.441
10.229 -1.039 1.403
```

Most intense lines, 2θ = 10–90°, low angle first:
2θ 14.76, rel. 100; 2θ 15.88, rel. 88; 2θ 16.16, rel. 77; 2θ 21.75, rel. 41; 2θ 21.95, rel. 63; 2θ 22.73, rel. 64; 2θ 27.21, rel. 80; 2θ 39.57, rel. 41

***

# RbH4NCl2
Computed powder diffraction line list, CuKα. Input: the PBE geometry in Alexandria.

```
RbH4NCl2
1.0
-3.277 3.277 6.792
3.277 -3.277 6.792
3.277 3.277 -6.792
Rb H N Cl
2 8 2 4
Cartesian
3.277 1.638 1.698
0.000 1.638 5.094
3.277 -2.493 5.673
2.422 -1.638 4.515
4.132 -1.638 4.515
3.277 -0.784 5.673
0.000 4.060 1.119
-0.855 4.915 2.277
0.855 4.915 2.277
0.000 5.770 1.119
3.277 -1.638 5.094
0.000 4.915 1.698
3.277 1.638 -1.814
0.000 1.638 1.582
3.277 1.638 5.210
0.000 1.638 8.606
```

Most intense lines, 2θ = 10–90°, low angle first:
2θ 15.01, rel. 45; 2θ 23.89, rel. 28; 2θ 26.24, rel. 54; 2θ 27.21, rel. 100; 2θ 38.17, rel. 72; 2θ 38.87, rel. 34; 2θ 47.50, rel. 35; 2θ 69.91, rel. 21

***

# Rb5Te3H4NCl18
Computed powder diffraction line list, CuKα. Input: the PBE geometry in Alexandria.

```
Rb5Te3H4NCl18
1.0
7.436 0.000 0.000
-3.718 6.439 0.000
0.000 0.000 18.219
Rb Te H N Cl
5 3 4 1 18
Cartesian
0.000 0.000 0.000
0.000 0.000 9.079
0.000 4.293 6.035
0.000 4.293 15.167
3.718 2.146 12.113
0.000 0.000 13.640
0.000 4.293 1.525
3.718 2.146 7.537
2.874 1.660 3.358
3.718 2.146 1.981
4.561 1.660 3.358
3.718 3.120 3.358
3.718 2.146 3.014
-1.812 3.247 0.038
0.000 2.093 12.157
-1.905 5.393 12.157
0.000 2.194 3.001
-1.818 5.342 3.001
1.812 1.046 15.120
1.901 1.098 6.065
1.812 3.247 0.038
0.000 6.385 0.038
3.718 0.056 9.023
1.907 3.192 9.023
1.818 5.342 3.001
1.905 5.393 12.157
5.534 1.098 6.065
3.718 4.244 6.065
5.623 1.046 15.120
3.718 4.347 15.120
5.528 3.192 9.023
```

Most intense lines, 2θ = 10–90°, low angle first:
2θ 14.59, rel. 82; 2θ 23.93, rel. 85; 2θ 28.14, rel. 43; 2θ 29.42, rel. 51; 2θ 34.10, rel. 100; 2θ 42.09, rel. 39; 2θ 49.00, rel. 66; 2θ 81.94, rel. 28

***

# ReH8N2Cl6
Computed powder diffraction line list, CuKα. Input: the PBE geometry in Alexandria.

```
ReH8N2Cl6
1.0
0.000 5.040 5.040
5.040 0.000 5.040
5.040 5.040 0.000
Re H N Cl
1 8 2 6
Cartesian
0.000 0.000 0.000
3.116 1.924 1.924
1.924 3.116 1.924
1.924 1.924 3.116
3.116 3.116 3.116
6.963 6.963 6.963
8.155 8.155 6.963
8.155 6.963 8.155
6.963 8.155 8.155
2.520 2.520 2.520
7.559 7.559 7.559
5.040 5.040 2.379
5.040 2.379 5.040
7.700 5.040 5.040
2.379 5.040 5.040
5.040 7.700 5.040
5.040 5.040 7.700
```

Most intense lines, 2θ = 10–90°, low angle first:
2θ 15.23, rel. 100; 2θ 17.60, rel. 63; 2θ 24.99, rel. 25; 2θ 29.39, rel. 49; 2θ 35.63, rel. 41; 2θ 40.00, rel. 33; 2θ 46.84, rel. 24; 2θ 51.27, rel. 26

***

# ReH30Ru2N10Cl10
Computed powder diffraction line list, CuKα. Input: the PBE geometry in Alexandria.

```
ReH30Ru2N10Cl10
1.0
5.839 -4.127 0.000
5.839 4.127 0.000
-2.256 0.000 13.274
Re H Ru N Cl
1 30 2 10 10
Cartesian
0.000 0.000 0.000
2.410 1.743 3.317
0.369 1.191 10.775
2.554 2.410 8.063
1.816 1.730 11.334
3.049 1.224 7.019
4.052 1.731 8.222
5.370 1.731 5.051
0.369 -1.191 10.775
6.868 2.410 5.211
5.414 0.815 2.211
4.008 0.815 11.063
4.623 0.000 3.434
2.410 -1.743 3.317
7.606 1.730 1.940
6.373 1.224 6.255
3.049 -1.224 7.019
1.816 -1.730 11.334
7.012 1.743 9.957
4.799 0.000 9.839
5.414 -0.815 2.211
4.008 -0.815 11.063
2.554 -2.410 8.063
9.053 1.191 2.499
4.052 -1.731 8.222
5.370 -1.731 5.051
6.373 -1.224 6.255
7.606 -1.730 1.940
6.868 -2.410 5.211
9.053 -1.191 2.499
7.012 -1.743 9.957
2.192 0.000 9.242
7.230 0.000 4.031
1.303 1.501 10.474
3.070 1.520 8.008
6.352 1.520 5.266
1.303 -1.501 10.474
3.949 0.000 10.436
5.473 0.000 2.838
8.119 1.501 2.800
3.070 -1.520 8.008
6.352 -1.520 5.266
8.119 -1.501 2.800
-0.399 0.000 2.358
9.821 0.000 10.916
0.296 0.000 7.903
2.336 0.000 0.384
5.839 1.749 0.000
2.937 0.000 4.928
6.485 0.000 8.346
5.839 -1.749 0.000
7.086 0.000 12.890
9.126 0.000 5.371
```

Most intense lines, 2θ = 10–90°, low angle first:
2θ 15.37, rel. 100; 2θ 15.72, rel. 49; 2θ 17.85, rel. 63; 2θ 20.07, rel. 29; 2θ 21.53, rel. 38; 2θ 25.60, rel. 23; 2θ 32.93, rel. 16; 2θ 35.14, rel. 19